(1)
The following is a simulated XRD peak list of Ca2AcHg7. It was derived from DFT lattice parameters and positions (GGA-PBE), using λ = 1.5418 Å (Cu Kα).

Cell lengths 5.244, 5.244, 11.997 Å; angles 90.00, 90.00, 120.00 degrees
Fractional positions:
1 Ca 0.000 0.000 0.000
2 Ca 0.333 0.667 0.619
3 Ac 0.667 0.333 0.372
4 Hg 0.000 0.000 0.254
5 Hg 0.000 0.000 0.504
6 Hg 0.000 0.000 0.750
7 Hg 0.333 0.667 0.199
8 Hg 0.333 0.667 0.894
9 Hg 0.667 0.333 0.076
10 Hg 0.667 0.333 0.669

Most intense lines, 2θ from 10° to 90°, low angle first:
- 20.92 deg, rel. 24
- 29.77 deg, rel. 68
- 34.20 deg, rel. 100
- 35.88 deg, rel. 58
- 45.96 deg, rel. 23
- 50.41 deg, rel. 22
- 58.52 deg, rel. 21
- 61.23 deg, rel. 19
- 62.33 deg, rel. 24
- 72.04 deg, rel. 12

=====

(2)
The following is a simulated XRD peak list of LiTb4Er5. It was derived from DFT lattice parameters and positions (GGA-PBE), using λ = 1.5418 Å (Cu Kα).

Cell lengths 8.675, 8.675, 10.521 Å; angles 97.71, 97.71, 23.33 degrees
Fractional positions:
1 Li 0.000 0.000 0.000
2 Tb 0.171 0.171 0.735
3 Tb 0.496 0.496 0.229
4 Tb 0.504 0.504 0.771
5 Tb 0.829 0.829 0.265
6 Er 0.000 0.000 0.500
7 Er 0.332 0.332 0.571
8 Er 0.340 0.340 0.969
9 Er 0.660 0.660 0.031
10 Er 0.668 0.668 0.429

Most intense lines, 2θ from 10° to 90°, low angle first:
- 27.11 deg, rel. 51
- 29.12 deg, rel. 62
- 31.06 deg, rel. 48
- 31.90 deg, rel. 78
- 33.59 deg, rel. 100
- 34.42 deg, rel. 24
- 35.83 deg, rel. 90
- 50.59 deg, rel. 34
- 60.87 deg, rel. 34
- 62.44 deg, rel. 22

=====

(3)
The following is a simulated XRD peak list of K2HoUTe4. It was derived from DFT lattice parameters and positions (GGA-PBE), using λ = 1.5418 Å (Cu Kα).

Cell lengths 7.801, 4.498, 8.666 Å; angles 90.00, 107.46, 90.00 degrees
Fractional positions:
1 K 0.000 0.000 0.000
2 K 0.500 0.500 0.000
3 Ho 0.000 0.500 0.500
4 U 0.500 0.000 0.500
5 Te 0.232 0.000 0.709
6 Te 0.259 0.500 0.289
7 Te 0.741 0.500 0.711
8 Te 0.768 0.000 0.291

Most intense lines, 2θ from 10° to 90°, low angle first:
- 10.70 deg, rel. 55
- 27.02 deg, rel. 100
- 34.20 deg, rel. 21
- 37.05 deg, rel. 36
- 40.06 deg, rel. 37
- 41.59 deg, rel. 14
- 46.54 deg, rel. 13
- 48.99 deg, rel. 19
- 65.07 deg, rel. 16
- 70.73 deg, rel. 13

=====

(4)
The following is a simulated XRD peak list of LaPm5Sm5. It was derived from DFT lattice parameters and positions (GGA-PBE), using λ = 1.5418 Å (Cu Kα).

Cell lengths 5.172, 6.313, 13.181 Å; angles 76.32, 78.79, 65.83 degrees
Fractional positions:
1 La 0.000 0.000 0.000
2 Pm 0.090 0.456 0.363
3 Pm 0.363 0.819 0.455
4 Pm 0.454 0.276 0.817
5 Pm 0.636 0.184 0.544
6 Pm 0.909 0.546 0.636
7 Sm 0.182 0.911 0.726
8 Sm 0.273 0.363 0.092
9 Sm 0.546 0.725 0.183
10 Sm 0.727 0.638 0.908
11 Sm 0.818 0.090 0.274

Most intense lines, 2θ from 10° to 90°, low angle first:
- 29.96 deg, rel. 100
- 34.67 deg, rel. 34
- 34.84 deg, rel. 17
- 49.85 deg, rel. 12
- 49.96 deg, rel. 18
- 59.27 deg, rel. 22
- 59.47 deg, rel. 14
- 62.28 deg, rel. 9
- 81.11 deg, rel. 7
- 81.27 deg, rel. 7

=====

(5)
The following is a simulated XRD peak list of Pr5Ho2. It was derived from DFT lattice parameters and positions (GGA-PBE), using λ = 1.5418 Å (Cu Kα).

Cell lengths 8.429, 8.429, 11.548 Å; angles 130.99, 130.99, 24.50 degrees
Fractional positions:
1 Pr 0.000 0.000 0.000
2 Pr 0.162 0.162 0.670
3 Pr 0.371 0.371 0.638
4 Pr 0.629 0.629 0.362
5 Pr 0.838 0.838 0.330
6 Ho 0.361 0.361 0.086
7 Ho 0.639 0.639 0.914

Most intense lines, 2θ from 10° to 90°, low angle first:
- 23.46 deg, rel. 25
- 29.25 deg, rel. 39
- 30.14 deg, rel. 89
- 30.45 deg, rel. 100
- 31.00 deg, rel. 77
- 31.35 deg, rel. 36
- 32.65 deg, rel. 47
- 36.51 deg, rel. 45
- 37.28 deg, rel. 39
- 61.90 deg, rel. 35

=====

(6)
The following is a simulated XRD peak list of Dy5ThCd6. It was derived from DFT lattice parameters and positions (GGA-PBE), using λ = 1.5418 Å (Cu Kα).

Cell lengths 9.169, 9.169, 5.273 Å; angles 106.59, 106.59, 49.26 degrees
Fractional positions:
1 Dy 0.000 0.000 0.000
2 Dy 0.169 0.169 0.669
3 Dy 0.338 0.338 0.338
4 Dy 0.662 0.662 0.662
5 Dy 0.831 0.831 0.331
6 Th 0.500 0.500 0.000
7 Cd 0.071 0.589 0.830
8 Cd 0.234 0.766 0.500
9 Cd 0.411 0.929 0.170
10 Cd 0.589 0.071 0.830
11 Cd 0.766 0.234 0.500
12 Cd 0.929 0.411 0.170

Most intense lines, 2θ from 10° to 90°, low angle first:
- 33.58 deg, rel. 100
- 33.99 deg, rel. 49
- 47.59 deg, rel. 9
- 48.77 deg, rel. 9
- 48.90 deg, rel. 9
- 59.77 deg, rel. 18
- 60.55 deg, rel. 27
- 60.62 deg, rel. 9
- 79.51 deg, rel. 8
- 81.52 deg, rel. 8

=====

> What is the formula in the fifth record?

Pr5Ho2